Record 1
Starting from the PBE geometry in Alexandria, the XRD peak list of PuCuS was computed for a wavelength of 1.5418 Å.
Intensities are scaled so that the largest is 100.

Main lines, by angle (2θ = 15–90°):
- 2θ 18.0, d 4.921, I = 25.7, (0 0 2)
- 2θ 27.2, d 3.275, I = 100.0, (1 0 0)
- 2θ 28.7, d 3.107, I = 24.8, (1 0 1)
- 2θ 32.9, d 2.726, I = 57.8, (1 0 2)
- 2θ 38.9, d 2.318, I = 96.4, (1 0 3)
- 2θ 48.1, d 1.891, I = 41.9, (1 1 0)
- 2θ 63.5, d 1.465, I = 31.8, (2 0 3)
- 2θ 83.5, d 1.158, I = 26.1, (2 1 3)

Atomic structure:
Cell: 3.7811 3.7811 9.8416 Å, 90.00 90.00 120.00°
Space group P-6m2 (No. 187)
Asymmetric unit:
Pu1 0.0000 0.0000 0.1898 x2
Cu1 0.6667 0.3333 0.3782 x2
S1 0.0000 0.0000 0.5000 x1
S2 0.6667 0.3333 0.0000 x1

---

Record 2
Starting from the PBE geometry in Alexandria, the XRD peak list of NpTlBiO was computed for a wavelength of 1.5418 Å.
Intensities are scaled so that the largest is 100.

Main lines, by angle (2θ = 15–90°):
- 2θ 28.7, d 3.107, I = 29.6, (0 0 6)
- 2θ 30.8, d 2.899, I = 100.0, (1 0 3)
- 2θ 38.9, d 2.318, I = 31.4, (1 1 0)
- 2θ 49.0, d 1.858, I = 27.8, (1 1 6)
- 2θ 52.2, d 1.751, I = 17.7, (1 0 9)
- 2θ 56.1, d 1.639, I = 10.9, (2 0 0)
- 2θ 64.3, d 1.450, I = 12.5, (2 0 6)
- 2θ 65.4, d 1.427, I = 24.8, (2 1 3)

Atomic structure:
Cell: 3.2776 3.2776 18.6423 Å, 90.00 90.00 90.00°
Space group I4mm (No. 107)
Asymmetric unit:
Np1 0.0000 0.0000 0.0000 x2
Tl1 0.0000 0.0000 0.6902 x2
Bi1 0.0000 0.0000 0.3513 x2
O1 0.0000 0.0000 0.5298 x2

---

Record 3
Starting from the PBE geometry in Alexandria, the XRD peak list of NbHO was computed for a wavelength of 1.5418 Å.
Intensities are scaled so that the largest is 100.

Main lines, by angle (2θ = 15–90°):
- 2θ 16.6, d 5.356, I = 43.0, (0 0 2)
- 2θ 23.3, d 3.812, I = 100.0, (0 1 1)
- 2θ 32.1, d 2.790, I = 66.6, (1 0 1)
- 2θ 33.3, d 2.687, I = 69.0, (0 1 3)
- 2θ 33.5, d 2.678, I = 43.2, (0 0 4)
- 2θ 38.2, d 2.358, I = 57.8, (1 1 0)
- 2θ 40.1, d 2.246, I = 76.2, (1 0 3)
- 2θ 51.6, d 1.770, I = 61.4, (1 1 4)

Atomic structure:
Cell: 2.8897 4.0790 10.7124 Å, 90.00 90.00 90.00°
Space group Immm (No. 71)
Asymmetric unit:
Nb1 0.0000 0.0000 0.1424 x4
H1 0.0000 0.2494 0.0000 x4
O1 0.0000 0.5000 0.1979 x4